[1]
This entry pairs a crystal structure of YHoNi2B4 with its computed PXRD pattern. Radiation: a wavelength of 1.5418 Å. Structure: DFT lattice parameters and positions (GGA-PBE).
Lines closer than 0.1° are merged.

Largest 8 diffraction maxima, sorted by position, 10 to 90 degrees two-theta:
2θ/deg	I/Imax	h k l
26.95	100.0	1 0 1
33.69	58.1	1 0 2
34.71	61.4	0 0 3
36.62	67.5	1 1 1
41.99	66.5	1 1 2
49.85	44.6	2 0 0
57.57	25.6	2 1 1
62.18	32.5	2 0 3

Structure:
Cell: 3.659 3.659 7.750 Å, 90.00 90.00 90.00°
Space group P4mm (No. 99)
Asymmetric unit:
Y (0.000, 0.000, 0.000) x1
Ho (0.500, 0.500, 0.645) x1
Ni (0.000, 0.500, 0.323) x2
B (0.000, 0.000, 0.455) x1
B (0.000, 0.000, 0.664) x1
B (0.500, 0.500, 0.190) x1
B (0.500, 0.500, 0.980) x1

[2]
This entry pairs a crystal structure of LaGdHf with its computed PXRD pattern. Radiation: a wavelength of 1.5418 Å. Structure: DFT lattice parameters and positions (GGA-PBE).
Lines closer than 0.1° are merged.

Largest 8 diffraction maxima, sorted by position, 10 to 90 degrees two-theta:
2θ/deg	I/Imax	h k l
20.72	33.2	1 1 1
34.15	100.0	2 2 0
40.28	18.3	3 1 1
49.08	18.1	4 0 0
53.82	7.9	3 3 1
61.15	37.4	4 2 2
71.93	11.6	4 4 0
82.09	16.3	6 2 0

Structure:
Cell: 7.425 7.425 7.425 Å, 90.00 90.00 90.00°
Space group F-43m (No. 216)
Asymmetric unit:
La (0.000, 0.000, 0.000) x4
Gd (0.000, 0.000, 0.500) x4
Hf (0.250, 0.250, 0.750) x4

[3]
This entry pairs a crystal structure of TbNdSi2 with its computed PXRD pattern. Radiation: a wavelength of 1.5418 Å. Structure: DFT lattice parameters and positions (GGA-PBE).
Lines closer than 0.1° are merged.

Largest 8 diffraction maxima, sorted by position, 10 to 90 degrees two-theta:
2θ/deg	I/Imax	h k l
27.52	39.1	1 1 0
29.69	100.0	1 1 1
31.84	73.2	1 0 2
32.64	81.7	0 2 1
35.46	42.8	1 1 2
36.63	47.3	0 1 3
40.20	38.9	1 2 1
51.73	34.2	1 2 3

Structure:
Cell: 3.898 5.830 8.113 Å, 90.00 90.00 90.00°
Space group Pmc2_1 (No. 26)
Asymmetric unit:
Tb (0.000, 0.135, 0.000) x2
Nd (0.500, 0.364, 0.359) x2
Si (0.000, 0.372, 0.644) x2
Si (0.500, 0.122, 0.717) x2

[4]
This entry pairs a crystal structure of Y2Ho2CIBr2Cl2 with its computed PXRD pattern. Radiation: a wavelength of 1.5418 Å. Structure: DFT lattice parameters and positions (GGA-PBE).
Lines closer than 0.1° are merged.

Largest 8 diffraction maxima, sorted by position, 10 to 90 degrees two-theta:
2θ/deg	I/Imax	h k l
10.34	99.5	2 0 0
10.83	49.5	0 0 1
31.35	50.7	6 0 0
31.65	100.0	1 1 -2
34.99	24.5	5 1 -1
45.05	29.0	5 1 2
45.25	28.1	7 1 -2
47.56	21.5	0 2 0

Structure:
Cell: 17.601 3.824 8.397 Å, 90.00 103.45 90.00°
Space group C2/m (No. 12)
Asymmetric unit:
Y (0.140, 0.000, 0.075) x4
Ho (0.000, 0.500, 0.192) x4
C (0.000, 0.000, 0.000) x2
I (0.000, 0.000, 0.500) x2
Br (0.171, 0.500, 0.837) x4
Cl (0.159, 0.500, 0.312) x4

[5]
This entry pairs a crystal structure of BaNi2Sb4 with its computed PXRD pattern. Radiation: a wavelength of 1.5418 Å. Structure: DFT lattice parameters and positions (GGA-PBE).
Lines closer than 0.1° are merged.

Largest 8 diffraction maxima, sorted by position, 10 to 90 degrees two-theta:
2θ/deg	I/Imax	h k l
21.60	23.3	0 0 2
27.77	45.2	2 0 0
28.38	100.0	1 1 2
29.68	92.7	1 2 1
43.13	44.0	2 2 2
43.25	33.2	1 2 3
44.02	28.4	0 0 4
49.50	36.8	3 1 2

Structure:
Cell: 6.426 7.486 8.229 Å, 90.00 90.00 90.00°
Space group Immm (No. 71)
Asymmetric unit:
Ba (0.000, 0.000, 0.000) x2
Ni (0.209, 0.500, 0.000) x4
Sb (0.000, 0.222, 0.500) x4
Sb (0.000, 0.500, 0.250) x4

[6]
This entry pairs a crystal structure of Cs5BaTaP4 with its computed PXRD pattern. Radiation: a wavelength of 1.5418 Å. Structure: DFT lattice parameters and positions (GGA-PBE).
Lines closer than 0.1° are merged.

Largest 8 diffraction maxima, sorted by position, 10 to 90 degrees two-theta:
2θ/deg	I/Imax	h k l
21.13	39.5	2 2 -1
23.92	45.3	1 1 2
26.70	100.0	2 4 -1
27.23	36.2	1 5 1
27.68	82.2	2 2 -2
28.43	42.2	0 4 2
32.68	68.1	2 6 0
33.28	37.5	4 0 0

Structure:
Cell: 10.799 19.097 8.356 Å, 90.00 94.22 90.00°
Space group Cc (No. 9)
Asymmetric unit:
Cs (0.000, 0.033, 0.000) x4
Cs (0.010, 0.363, 0.313) x4
Cs (0.225, 0.430, 0.771) x4
Cs (0.291, 0.071, 0.339) x4
Cs (0.305, 0.268, 0.494) x4
Ba (0.206, 0.236, 0.996) x4
Ta (0.006, 0.171, 0.598) x4
P (0.001, 0.291, 0.699) x4
P (0.019, 0.175, 0.310) x4
P (0.187, 0.113, 0.723) x4
P (0.315, 0.386, 0.157) x4

[7]
This entry pairs a crystal structure of Dy2C2IBr with its computed PXRD pattern. Radiation: a wavelength of 1.5418 Å. Structure: DFT lattice parameters and positions (GGA-PBE).
Lines closer than 0.1° are merged.

Largest 8 diffraction maxima, sorted by position, 10 to 90 degrees two-theta:
2θ/deg	I/Imax	h k l
26.42	32.8	1 1 0
27.05	44.0	1 1 -1
27.82	88.3	2 0 1
30.06	70.8	1 1 -2
32.33	100.0	2 0 -3
34.88	90.1	1 1 -3
44.43	49.9	1 1 4
44.76	49.0	3 1 -1

Structure:
Cell: 7.158 3.841 11.019 Å, 90.00 99.48 90.00°
Space group Cm (No. 8)
Asymmetric unit:
Dy (0.000, 0.000, 0.000) x2
Dy (0.196, 0.000, 0.741) x2
C (0.010, 0.500, 0.838) x2
C (0.185, 0.500, 0.902) x2
I (0.389, 0.000, 0.195) x2
Br (0.307, 0.500, 0.569) x2

[8]
This entry pairs a crystal structure of MgZr2Se4 with its computed PXRD pattern. Radiation: a wavelength of 1.5418 Å. Structure: DFT lattice parameters and positions (GGA-PBE).
Lines closer than 0.1° are merged.

Largest 8 diffraction maxima, sorted by position, 10 to 90 degrees two-theta:
2θ/deg	I/Imax	h k l
16.75	18.4	1 0 1
26.33	100.0	1 1 2
34.37	14.3	2 1 1
42.63	24.8	2 2 0
44.19	44.6	2 0 4
50.80	29.5	3 1 2
53.52	12.6	1 1 6
79.13	14.0	4 2 4

Structure:
Cell: 5.999 5.999 11.228 Å, 90.00 90.00 90.00°
Space group I-4 (No. 82)
Asymmetric unit:
Mg (0.000, 0.000, 0.000) x2
Zr (0.000, 0.000, 0.500) x2
Zr (0.000, 0.500, 0.250) x2
Se (0.231, 0.265, 0.867) x8